Entry 1:
# Hf4C3N
Calculated XRD peak list, copper Kα. Input: a cell relaxed with PBE.
Intensities are scaled so that the largest is 100.

Atomic structure:
```
Hf4C3N
1.0
1.637 0.945 10.671
-1.637 0.945 10.671
0.000 -1.890 10.671
Hf C N
4 3 1
direct
0.124 0.124 0.124 Hf
0.374 0.374 0.374 Hf
0.626 0.626 0.626 Hf
0.876 0.876 0.876 Hf
0.000 0.000 0.000 C
0.248 0.248 0.248 C
0.752 0.752 0.752 C
0.500 0.500 0.500 N
```

Most intense lines, 2θ = 10–90°, in order of rising 2θ:
two_theta  I (rel.)
33.55  100
38.94  65
56.24  44
67.08  32
67.16  11
70.48  11
70.62  4
83.61  7

Entry 2:
# HfNb4CN4
Calculated XRD peak list, copper Kα. Input: a cell relaxed with PBE.
Intensities are scaled so that the largest is 100.

Atomic structure:
```
HfNb4CN4
1.0
-1.588 1.588 11.157
1.588 -1.588 11.157
1.588 1.588 -11.157
Hf Nb C N
1 4 1 4
direct
0.000 0.000 0.000 Hf
0.200 0.200 0.000 Nb
0.401 0.401 0.000 Nb
0.599 0.599 0.000 Nb
0.800 0.800 0.000 Nb
0.500 0.500 0.000 C
0.100 0.100 0.000 N
0.300 0.300 0.000 N
0.700 0.700 0.000 N
0.900 0.900 0.000 N
```

Most intense lines, 2θ = 10–90°, in order of rising 2θ:
two_theta  I (rel.)
34.67  100
40.16  54
40.42  26
58.10  17
58.30  33
69.46  28
69.82  14
73.16  17

Entry 3:
# HfTaCN
Calculated XRD peak list, copper Kα. Input: a cell relaxed with PBE.
Intensities are scaled so that the largest is 100.

Atomic structure:
```
HfTaCN
1.0
1.597 0.922 5.239
-1.597 0.922 5.239
0.000 -1.844 5.239
Hf Ta C N
1 1 1 1
direct
0.000 0.000 0.000 Hf
0.493 0.493 0.493 Ta
0.750 0.750 0.750 C
0.245 0.245 0.245 N
```

Most intense lines, 2θ = 10–90°, in order of rising 2θ:
two_theta  I (rel.)
34.23  33
34.37  100
39.86  87
57.54  29
57.73  29
68.69  14
68.89  42
72.45  15

Entry 4:
# HfZrCN
Calculated XRD peak list, copper Kα. Input: a cell relaxed with PBE.
Intensities are scaled so that the largest is 100.

Atomic structure:
```
HfZrCN
1.0
1.638 0.945 5.362
-1.638 0.945 5.362
0.000 -1.891 5.362
Hf Zr C N
1 1 1 1
direct
0.000 0.000 0.000 Hf
0.502 0.502 0.502 Zr
0.253 0.253 0.253 C
0.749 0.749 0.749 N
```

Most intense lines, 2θ = 10–90°, in order of rising 2θ:
two_theta  I (rel.)
16.53  15
33.48  100
38.85  71
56.07  24
56.17  24
66.93  32
67.01  11
70.40  12

Entry 5:
# NaHfPCO7
Calculated XRD peak list, copper Kα. Input: a cell relaxed with PBE.
Intensities are scaled so that the largest is 100.

Atomic structure:
```
NaHfPCO7
1.0
5.555 0.000 0.000
0.000 6.656 0.000
-0.381 0.000 9.300
Na Hf P C O
2 2 2 2 14
direct
0.241 0.000 0.296 Na
0.759 0.500 0.704 Na
0.209 0.227 0.843 Hf
0.791 0.727 0.157 Hf
0.276 0.734 0.939 P
0.724 0.234 0.061 P
0.277 0.259 0.574 C
0.723 0.759 0.426 C
0.059 0.257 0.632 O
0.132 0.750 0.079 O
0.200 0.544 0.855 O
0.221 0.920 0.844 O
0.313 0.247 0.444 O
0.451 0.225 0.018 O
0.452 0.270 0.678 O
0.548 0.770 0.322 O
0.549 0.725 0.982 O
0.687 0.747 0.556 O
0.779 0.420 0.156 O
0.800 0.044 0.145 O
0.868 0.250 0.921 O
0.941 0.757 0.368 O
```

Most intense lines, 2θ = 10–90°, in order of rising 2θ:
two_theta  I (rel.)
16.38  100
18.28  30
18.95  49
20.84  60
24.46  44
26.79  40
28.83  26
36.37  24

Entry 6:
# Hf4Ru12C3
Calculated XRD peak list, copper Kα. Input: a cell relaxed with PBE.
Intensities are scaled so that the largest is 100.

Atomic structure:
```
Hf4Ru12C3
1.0
4.082 0.000 0.000
0.000 4.082 0.000
0.000 0.000 15.980
Hf Ru C
4 12 3
direct
0.000 0.000 0.118 Hf
0.000 0.000 0.373 Hf
0.000 0.000 0.627 Hf
0.000 0.000 0.882 Hf
0.000 0.500 0.000 Ru
0.000 0.500 0.249 Ru
0.000 0.500 0.500 Ru
0.000 0.500 0.751 Ru
0.500 0.000 0.000 Ru
0.500 0.000 0.249 Ru
0.500 0.000 0.500 Ru
0.500 0.000 0.751 Ru
0.500 0.500 0.116 Ru
0.500 0.500 0.373 Ru
0.500 0.500 0.627 Ru
0.500 0.500 0.884 Ru
0.500 0.500 0.239 C
0.500 0.500 0.500 C
0.500 0.500 0.761 C
```

Most intense lines, 2θ = 10–90°, in order of rising 2θ:
two_theta  I (rel.)
38.48  100
44.39  36
45.41  16
64.58  12
65.37  21
77.75  25
79.22  11
82.45  11

Entry 7:
# Hf2CS
Calculated XRD peak list, copper Kα. Input: a cell relaxed with PBE.
Intensities are scaled so that the largest is 100.

Atomic structure:
```
Hf2CS
1.0
3.380 0.000 0.000
-1.690 2.927 0.000
0.000 0.000 12.070
Hf C S
4 2 2
direct
0.333 0.667 0.100 Hf
0.333 0.667 0.400 Hf
0.667 0.333 0.600 Hf
0.667 0.333 0.900 Hf
0.000 0.000 0.000 C
0.000 0.000 0.500 C
0.333 0.667 0.750 S
0.667 0.333 0.250 S
```

Most intense lines, 2θ = 10–90°, in order of rising 2θ:
two_theta  I (rel.)
29.60  18
30.54  29
31.45  37
38.01  100
54.28  27
62.51  16
68.18  18
73.13  14

Entry 8:
# Hf2SnC
Calculated XRD peak list, copper Kα. Input: a cell relaxed with PBE.
Intensities are scaled so that the largest is 100.

Atomic structure:
```
Hf2SnC
1.0
3.332 0.000 0.000
-1.666 2.886 0.000
0.000 0.000 14.580
Hf Sn C
4 2 2
direct
0.333 0.667 0.085 Hf
0.333 0.667 0.415 Hf
0.667 0.333 0.585 Hf
0.667 0.333 0.915 Hf
0.333 0.667 0.750 Sn
0.667 0.333 0.250 Sn
0.000 0.000 0.000 C
0.000 0.000 0.500 C
```

Most intense lines, 2θ = 10–90°, in order of rising 2θ:
two_theta  I (rel.)
30.99  23
36.20  100
36.99  20
49.01  15
55.13  21
66.15  18
67.75  16
68.26  21

Entry 9:
# HfTaC2
Calculated XRD peak list, copper Kα. Input: a cell relaxed with PBE.
Intensities are scaled so that the largest is 100.

Atomic structure:
```
HfTaC2
1.0
1.609 0.929 5.280
-1.609 0.929 5.280
0.000 -1.858 5.280
Hf Ta C
1 1 2
direct
0.000 0.000 0.000 Hf
0.500 0.500 0.500 Ta
0.247 0.247 0.247 C
0.753 0.753 0.753 C
```

Most intense lines, 2θ = 10–90°, in order of rising 2θ:
two_theta  I (rel.)
33.96  34
34.11  100
39.55  85
57.06  29
57.27  29
68.09  14
68.31  42
71.83  14

Entry 10:
# HfUC2
Calculated XRD peak list, copper Kα. Input: a cell relaxed with PBE.
Intensities are scaled so that the largest is 100.

Atomic structure:
```
HfUC2
1.0
1.684 0.972 5.627
-1.684 0.972 5.627
0.000 -1.945 5.627
Hf U C
1 1 2
direct
0.000 0.000 0.000 Hf
0.500 0.500 0.500 U
0.252 0.252 0.252 C
0.748 0.748 0.748 C
```

Most intense lines, 2θ = 10–90°, in order of rising 2θ:
two_theta  I (rel.)
31.80  35
32.47  100
37.48  85
53.60  30
54.48  29
63.69  16
64.48  30
68.00  15

Entry 11:
# HfWC2
Calculated XRD peak list, copper Kα. Input: a cell relaxed with PBE.
Intensities are scaled so that the largest is 100.

Atomic structure:
```
HfWC2
1.0
1.588 0.917 5.213
-1.588 0.917 5.213
0.000 -1.834 5.213
Hf W C
1 1 2
direct
0.000 0.000 0.000 Hf
0.500 0.500 0.500 W
0.246 0.246 0.246 C
0.754 0.754 0.754 C
```

Most intense lines, 2θ = 10–90°, in order of rising 2θ:
two_theta  I (rel.)
34.41  34
34.57  100
40.08  84
57.87  29
58.08  28
69.09  14
69.32  42
72.91  14

Entry 12:
# HfZrC2
Calculated XRD peak list, copper Kα. Input: a cell relaxed with PBE.
Intensities are scaled so that the largest is 100.

Atomic structure:
```
HfZrC2
1.0
3.317 0.000 0.000
0.000 3.317 0.000
0.000 0.000 4.678
Hf Zr C
1 1 2
direct
0.000 0.000 0.000 Hf
0.500 0.500 0.500 Zr
0.000 0.000 0.500 C
0.500 0.500 0.000 C
```

Most intense lines, 2θ = 10–90°, in order of rising 2θ:
two_theta  I (rel.)
18.97  10
33.10  100
38.37  46
38.49  23
55.45  46
66.07  28
66.23  14
69.47  15